This entry pairs a crystal structure of MgMnPbO3 with its theoretical powder X-ray diffraction pattern. Radiation: Cu Kα. Structure: a cell relaxed with GGA+U.
Kinematic intensities with the Lorentz-polarization factor, no thermal factor.

Main lines, by angle (10 to 90 degrees two-theta):
13.68 deg, I = 22, (0 0 1); 22.49 deg, I = 37, (1 0 0); 26.41 deg, I = 100, (1 0 1); 27.55 deg, I = 56, (0 0 2); 32.01 deg, I = 48, (1 1 0); 34.96 deg, I = 31, (1 1 1); 35.85 deg, I = 24, (1 0 2); 42.73 deg, I = 44, (1 1 2); 45.90 deg, I = 27, (2 0 0); 48.05 deg, I = 26, (1 0 3); 53.72 deg, I = 39, (2 1 1); 54.38 deg, I = 31, (2 0 2)

```
data_MgMnPbO3
_chemical_formula_sum 'Mg1 Mn1 Pb1 O3'
_cell_length_a 3.9538
_cell_length_b 3.9538
_cell_length_c 6.4747
_cell_angle_alpha 90.00
_cell_angle_beta 90.00
_cell_angle_gamma 90.00
_symmetry_space_group_name_H-M 'P 1'
_symmetry_Int_Tables_number 1
_symmetry_space_group_name_Hall 'P 1'
loop_
_atom_site_label
_atom_site_fract_x
_atom_site_fract_y
_atom_site_fract_z
Mg1 0.0000 0.0000 0.0000
Mn1 0.5000 0.5000 0.0000
Pb1 0.0000 0.0000 0.5000
O1 0.0000 0.5000 0.0000
O2 0.5000 0.0000 0.0000
O3 0.5000 0.5000 0.5000
```